# 1
For Li4MnV3P4O16, a structure optimized by DFT (GGA+U) gives the theoretical PXRD pattern in this record (Cu Kα (weighted mean of Kα1 and Kα2)).
Intensities are scaled so that the largest is 100.

Most intense lines, 10° ≤ 2θ ≤ 90°, most intense first:
| 2θ/deg | d [Å] | intensity | (hkl) |
| --- | --- | --- | --- |
| 34.94 | 2.568 | 100 | 1 1 3 |
| 25.12 | 3.545 | 76 | 1 1 1 |
| 29.15 | 3.064 | 71 | 0 2 0 |
| 20.42 | 4.349 | 53 | 1 0 -1 |
| 51.54 | 1.773 | 33 | 2 2 2 |
| 60.80 | 1.523 | 29 | 0 2 6 |
| 35.85 | 2.505 | 29 | 1 2 -1 |
| 22.26 | 3.993 | 29 | 0 1 2 |
| 55.49 | 1.656 | 23 | 1 3 3 |
| 16.84 | 5.265 | 20 | 0 0 2 |

Atomic structure:
```
data_Li4MnV3P4O16
_symmetry_space_group_name_H-M 'P 1 m 1'
_symmetry_Int_Tables_number 6
_cell_length_a 4.7755
_cell_length_b 6.1278
_cell_length_c 10.5299
_cell_angle_alpha 90.00
_cell_angle_beta 90.03
_cell_angle_gamma 90.00
loop_
_symmetry_equiv_pos_as_xyz
'x,y,z'
'x,-y,z'
loop_
_atom_site_label
_atom_site_type_symbol
_atom_site_fract_x
_atom_site_fract_y
_atom_site_fract_z
Li1 Li 0.0000 0.2477 0.0000
Li2 Li 0.4987 0.2511 0.4996
Mn1 Mn 0.4758 0.5000 0.7771
V1 V 0.0226 0.5000 0.2744
V2 V 0.5209 0.0000 0.2244
V3 V 0.9802 0.0000 0.7224
P1 P 0.0893 0.0000 0.4071
P2 P 0.4127 0.0000 0.9077
P3 P 0.5918 0.5000 0.0913
P4 P 0.9104 0.5000 0.5876
O1 O 0.2095 0.0000 0.5440
O2 O 0.2257 0.2019 0.3374
O3 O 0.2322 0.5000 0.5932
O4 O 0.2701 0.5000 0.0961
O5 O 0.2766 0.2016 0.8382
O6 O 0.2937 0.0000 0.0450
O7 O 0.7106 0.5000 0.9541
O8 O 0.7282 0.2979 0.1602
O9 O 0.7343 0.0000 0.9027
O10 O 0.7679 0.0000 0.4018
O11 O 0.7758 0.2981 0.6566
O12 O 0.7902 0.5000 0.4502
```



# 2
For Li3MnVP4O14, a structure optimized by DFT (GGA+U) gives the theoretical PXRD pattern in this record (Cu Kα (weighted mean of Kα1 and Kα2)).
Intensities are scaled so that the largest is 100.

Most intense lines, 10° ≤ 2θ ≤ 90°, most intense first:
| 2θ/deg | d [Å] | intensity | (hkl) |
| --- | --- | --- | --- |
| 16.82 | 5.271 | 100 | 0 1 1 |
| 17.05 | 5.199 | 85 | 0 1 -1 |
| 28.50 | 3.132 | 60 | 1 1 2 |
| 28.71 | 3.110 | 55 | 1 1 -2 |
| 21.69 | 4.097 | 49 | 1 1 1 |
| 21.83 | 4.071 | 40 | 1 1 -1 |
| 26.23 | 3.397 | 39 | 1 -1 0 |
| 28.42 | 3.141 | 35 | 1 -1 1 |
| 29.23 | 3.055 | 35 | 1 2 -1 |
| 28.27 | 3.156 | 31 | -1 1 1 |

Atomic structure:
```
data_Li3MnVP4O14
_symmetry_space_group_name_H-M 'P 1'
_symmetry_Int_Tables_number 1
_cell_length_a 5.0494
_cell_length_b 7.0935
_cell_length_c 8.3832
_cell_angle_alpha 89.19
_cell_angle_beta 89.88
_cell_angle_gamma 70.90
loop_
_symmetry_equiv_pos_as_xyz
'x,y,z'
loop_
_atom_site_label
_atom_site_type_symbol
_atom_site_fract_x
_atom_site_fract_y
_atom_site_fract_z
Li1 Li 0.0000 0.0000 0.0000
Li2 Li 0.0955 0.5666 0.6901
Li3 Li 0.4548 0.2470 0.1954
Mn1 Mn 0.4709 0.1755 0.8223
V1 V 0.0585 0.6297 0.3431
P1 P 0.0497 0.9859 0.6201
P2 P 0.4822 0.8173 0.1354
P3 P 0.6682 0.3834 0.5172
P4 P 0.8809 0.4303 0.0242
O1 O 0.0477 0.4257 0.1795
O2 O 0.0677 0.4106 0.8789
O3 O 0.1047 0.7877 0.5324
O4 O 0.2014 0.7838 0.1732
O5 O 0.3090 0.0434 0.6426
O6 O 0.4050 0.0162 0.0415
O7 O 0.4689 0.4300 0.3723
O8 O 0.5125 0.4155 0.6756
O9 O 0.6460 0.6493 0.0083
O10 O 0.6691 0.8126 0.2773
O11 O 0.7294 0.2746 0.0330
O12 O 0.8353 0.1473 0.4991
O13 O 0.8900 0.4897 0.5099
O14 O 0.8956 0.9783 0.7782
```



# 3
For Li3MnVP3O12, a structure optimized by DFT (GGA+U) gives the theoretical PXRD pattern in this record (Cu Kα (weighted mean of Kα1 and Kα2)).
Intensities are scaled so that the largest is 100.

Most intense lines, 10° ≤ 2θ ≤ 90°, most intense first:
| 2θ/deg | d [Å] | intensity | (hkl) |
| --- | --- | --- | --- |
| 24.01 | 3.706 | 100 | 1 1 3 |
| 31.74 | 2.819 | 70 | 1 1 6 |
| 19.81 | 4.482 | 68 | 1 0 4 |
| 14.35 | 6.174 | 67 | 0 1 2 |
| 28.92 | 3.087 | 46 | 0 2 4 |
| 52.14 | 1.754 | 21 | 2 1 10 |
| 36.55 | 2.458 | 19 | 3 0 0 |
| 38.53 | 2.337 | 19 | 3 0 3 |
| 47.23 | 1.924 | 18 | 0 2 10 |
| 56.79 | 1.621 | 17 | 3 2 4 |

Atomic structure:
```
data_Li3MnVP3O12
_symmetry_space_group_name_H-M 'R 3'
_symmetry_Int_Tables_number 146
_symmetry_space_group_name_Hall 'R 3'
_cell_length_a 8.5155
_cell_length_b 8.5155
_cell_length_c 22.5745
_cell_angle_alpha 90.00
_cell_angle_beta 90.00
_cell_angle_gamma 120.00
loop_
_atom_site_label
_atom_site_type_symbol
_atom_site_fract_x
_atom_site_fract_y
_atom_site_fract_z
Li1 Li 0.0133 0.6330 0.0000
Li2 Li 0.0473 0.3531 0.9017
Mn1 Mn 0.0000 0.0000 0.1368
Mn2 Mn 0.0000 0.0000 0.6353
V1 V 0.0000 0.0000 0.4316
V2 V 0.0000 0.0000 0.9328
P1 P 0.0001 0.7058 0.5334
P2 P 0.0102 0.2908 0.0345
O1 O 0.0064 0.8137 0.4771
O2 O 0.0349 0.2102 0.0911
O3 O 0.0387 0.2023 0.3737
O4 O 0.0881 0.5196 0.3535
O5 O 0.0923 0.5222 0.6469
O6 O 0.1681 0.7261 0.8567
O7 O 0.1755 0.7623 0.2517
O8 O 0.1990 0.7644 0.5502
```



# 4
For LiMnVP4O14, a structure optimized by DFT (GGA+U) gives the theoretical PXRD pattern in this record (Cu Kα (weighted mean of Kα1 and Kα2)).
Intensities are scaled so that the largest is 100.

Most intense lines, 10° ≤ 2θ ≤ 90°, most intense first:
| 2θ/deg | d [Å] | intensity | (hkl) |
| --- | --- | --- | --- |
| 16.76 | 5.289 | 100 | 1 1 0 |
| 17.38 | 5.102 | 86 | 1 -1 0 |
| 29.11 | 3.068 | 68 | 1 2 2 |
| 29.86 | 2.992 | 43 | 1 -2 2 |
| 22.08 | 4.025 | 38 | 0 1 -2 |
| 22.79 | 3.902 | 35 | 1 -1 2 |
| 22.30 | 3.986 | 33 | 1 1 2 |
| 26.54 | 3.359 | 29 | 1 0 -2 |
| 29.43 | 3.035 | 24 | 2 1 2 |
| 13.19 | 6.712 | 19 | 1 0 0 |

Atomic structure:
```
data_LiMnVP4O14
_symmetry_space_group_name_H-M 'P 1'
_symmetry_Int_Tables_number 1
_cell_length_a 7.0515
_cell_length_b 8.2025
_cell_length_c 9.7022
_cell_angle_alpha 89.30
_cell_angle_beta 72.28
_cell_angle_gamma 87.78
loop_
_symmetry_equiv_pos_as_xyz
'x,y,z'
loop_
_atom_site_label
_atom_site_type_symbol
_atom_site_fract_x
_atom_site_fract_y
_atom_site_fract_z
Li1 Li 0.0000 0.0000 0.0000
Li2 Li 0.3436 0.4921 0.3294
Mn1 Mn 0.3972 0.1233 0.3135
Mn2 Mn 0.4079 0.1380 0.8090
V1 V 0.9469 0.6353 0.5260
V2 V 0.9542 0.6281 0.0177
P1 P 0.1533 0.3120 0.1182
P2 P 0.1656 0.3089 0.6144
P3 P 0.1824 0.8121 0.7208
P4 P 0.1875 0.8157 0.2161
P5 P 0.5746 0.9062 0.5313
P6 P 0.5750 0.9083 0.0304
P7 P 0.7688 0.4229 0.3059
P8 P 0.7708 0.4115 0.8048
O1 O 0.0575 0.7944 0.6153
O2 O 0.0640 0.8038 0.1089
O3 O 0.1421 0.6709 0.8299
O4 O 0.1500 0.6752 0.3270
O5 O 0.1573 0.9781 0.7917
O6 O 0.1582 0.4840 0.0531
O7 O 0.1652 0.4778 0.5404
O8 O 0.1687 0.9842 0.2776
O9 O 0.1927 0.1770 0.0049
O10 O 0.2125 0.1721 0.5033
O11 O 0.2861 0.3074 0.2174
O12 O 0.2966 0.3091 0.7140
O13 O 0.4100 0.7817 0.6241
O14 O 0.4198 0.7772 0.1216
O15 O 0.5156 0.9552 0.8963
O16 O 0.5250 0.9484 0.3919
O17 O 0.5678 0.3477 0.3500
O18 O 0.5796 0.0552 0.6221
O19 O 0.5808 0.0560 0.1250
O20 O 0.5834 0.3199 0.8557
O21 O 0.7681 0.5621 0.7080
O22 O 0.7680 0.8022 0.4900
O23 O 0.7742 0.5736 0.2072
O24 O 0.7790 0.8167 0.9882
O25 O 0.8393 0.4662 0.9345
O26 O 0.8432 0.4692 0.4333
O27 O 0.9253 0.2840 0.2153
O28 O 0.9399 0.2821 0.7131
```



# 5
For Li6MnV3P6O24, a structure optimized by DFT (GGA+U) gives the theoretical PXRD pattern in this record (Cu Kα (weighted mean of Kα1 and Kα2)).
Intensities are scaled so that the largest is 100.

Most intense lines, 10° ≤ 2θ ≤ 90°, most intense first:
| 2θ/deg | d [Å] | intensity | (hkl) |
| --- | --- | --- | --- |
| 23.99 | 3.709 | 100 | 2 -1 3 |
| 31.65 | 2.827 | 68 | 2 -1 6 |
| 14.33 | 6.181 | 65 | 0 1 2 |
| 19.75 | 4.496 | 64 | 1 0 4 |
| 28.89 | 3.090 | 44 | 0 2 4 |
| 51.97 | 1.760 | 20 | 3 -1 10 |
| 38.53 | 2.337 | 18 | 0 3 3 |
| 36.58 | 2.457 | 18 | 3 0 0 |
| 32.38 | 2.765 | 17 | 2 1 1 |
| 49.13 | 1.854 | 16 | 4 -2 6 |

Atomic structure:
```
data_Li6MnV3P6O24
_symmetry_space_group_name_H-M 'R 3'
_symmetry_Int_Tables_number 146
_symmetry_space_group_name_Hall 'R 3'
_cell_length_a 8.5103
_cell_length_b 8.5103
_cell_length_c 22.6957
_cell_angle_alpha 90.00
_cell_angle_beta 90.00
_cell_angle_gamma 120.00
loop_
_atom_site_label
_atom_site_type_symbol
_atom_site_fract_x
_atom_site_fract_y
_atom_site_fract_z
Li1 Li 0.0195 0.3855 0.0000
Li2 Li 0.0424 0.6953 0.9015
Mn1 Mn 0.0000 0.0000 0.6358
V1 V 0.0000 0.0000 0.1367
V2 V 0.0000 0.0000 0.4310
V3 V 0.0000 0.0000 0.9342
P1 P 0.0040 0.7165 0.0350
P2 P 0.0409 0.3684 0.2014
O1 O 0.0217 0.8243 0.0920
O2 O 0.0413 0.8295 0.3748
O3 O 0.0873 0.5599 0.3553
O4 O 0.0925 0.8553 0.9823
O5 O 0.1418 0.4715 0.1469
O6 O 0.1728 0.4065 0.2545
O7 O 0.1754 0.4530 0.8577
O8 O 0.1917 0.4369 0.5523
```